The following is a theoretical XRD peak list of LiPWO4F. It was derived from the GGA+U geometry in Alexandria, using Cu Kα.

Cell and atoms:
a = 5.2839 Å, b = 5.6292 Å, c = 7.6912 Å
α = 106.84°, β = 108.32°, γ = 97.17°
Fractional coordinates of all 16 atoms:
1 Li 0.2277 0.3980 0.3320
2 Li 0.7723 0.6020 0.6680
3 P 0.1812 0.3676 0.7300
4 P 0.8188 0.6324 0.2700
5 W 0.5000 0.0000 0.0000
6 W 0.5000 0.0000 0.5000
7 O 0.1181 0.7425 0.4196
8 O 0.1856 0.6513 0.8295
9 O 0.2542 0.2243 0.8725
10 O 0.3791 0.3519 0.6119
11 O 0.6209 0.6481 0.3881
12 O 0.7458 0.7757 0.1275
13 O 0.8144 0.3487 0.1705
14 O 0.8819 0.2575 0.5804
15 F 0.3478 0.0826 0.2350
16 F 0.6522 0.9174 0.7650

Peak list (10 most intense, 10° ≤ 2θ ≤ 90°, in order of rising 2θ)
- 16.9 deg, 5.234 Å, I 681, hkl 0 1 0
- 18.2 deg, 4.872 Å, I 735, hkl 1 0 0
- 21.8 deg, 4.083 Å, I 435, hkl 1 -1 0
- 25.7 deg, 3.469 Å, I 1000, hkl 0 1 -2
- 26.0 deg, 3.421 Å, I 190, hkl 0 0 2
- 27.8 deg, 3.207 Å, I 493, hkl 1 1 0
- 33.6 deg, 2.671 Å, I 211, hkl -1 1 2
- 34.8 deg, 2.575 Å, I 382, hkl 1 -2 0
- 36.5 deg, 2.459 Å, I 145, hkl 2 0 -2
- 36.8 deg, 2.440 Å, I 185, hkl 2 -1 0